The following is a computed powder diffractogram of Zr2Mn4P3. It was derived from a crystal structure in the Materials Project, relaxed with PBE, using Cu Kα, 1.54184 Å.
Kinematic intensities with the Lorentz-polarization factor, no thermal factor.

Top 10 peaks for 10 to 80 degrees two-theta, by angle:
- hkl 2 2 0, 2θ = 28.25°, I 7.2
- hkl 3 2 0, 2θ = 35.77°, I 10.3
- hkl 4 1 0, 2θ = 37.67°, I 12.2
- hkl 2 2 1, 2θ = 37.96°, I 100.0
- hkl 3 1 1, 2θ = 38.88°, I 24.9
- hkl 4 1 1, 2θ = 45.65°, I 10.9
- hkl 5 1 0, 2θ = 46.19°, I 7.5
- hkl 6 0 0, 2θ = 50.01°, I 24.7
- hkl 0 0 2, 2θ = 50.95°, I 19.3
- hkl 6 0 2, 2θ = 74.18°, I 14.8

Crystal structure
Unit cell a=12.6353 b=12.6353 c=3.5850 alpha=90.00 beta=90.00 gamma=120.00
Space group P-62m (No. 189)
Inequivalent atoms, fractional coordinates:
Zr (0.0000, 0.1716, 0.0000) [3 per cell]
Zr (0.0000, 0.5444, 0.5000) [3 per cell]
Zr (0.3333, 0.6667, 0.5000) [2 per cell]
Mn (0.0000, 0.0000, 0.5000) [1 per cell]
Mn (0.0000, 0.7162, 0.0000) [3 per cell]
Mn (0.1255, 0.4681, 0.0000) [6 per cell]
Mn (0.1743, 0.8016, 0.5000) [6 per cell]
P (0.0000, 0.3366, 0.5000) [3 per cell]
P (0.0000, 0.8260, 0.5000) [3 per cell]
P (0.1705, 0.6794, 0.0000) [6 per cell]